For Be2HSe, a crystal structure in Alexandria, relaxed with GGA-PBE gives the theoretical XRD peak list in this record (λ = 1.5418 Å (Cu Kα)).
No peak broadening, texture or thermal motion is included.

Principal peaks in the range 10 to 90 degrees two-theta, sorted by position:
(0 1 0), 2θ 16.34, I = 28; (0 1 -1), 2θ 19.21, I = 100; (0 1 1), 2θ 24.60, I = 62; (1 0 -1), 2θ 26.62, I = 53; (1 1 0), 2θ 29.44, I = 40; (1 0 1), 2θ 29.57, I = 40; (0 0 2), 2θ 29.68, I = 34; (0 2 -1), 2θ 32.79, I = 22; (1 1 -2), 2θ 36.96, I = 25; (1 -2 0), 2θ 40.52, I = 24

Atomic structure:
Cell lengths 3.7574, 5.5884, 6.2403 Å; angles 103.84, 96.38, 90.09 degrees
Sites, in units of the cell vectors:
Be: 0.0000 0.0000 0.0000
Be: 0.0722 0.3259 0.8650
Be: 0.4959 0.0913 0.9000
Be: 0.6045 0.6636 0.9342
H: 0.6901 0.8620 0.8113
H: 0.7275 0.1546 0.1099
Se: 0.1538 0.6857 0.1485
Se: 0.5523 0.3310 0.6571